No. 1
This entry pairs a crystal structure of Ac3Cu2TcO9 with its computed powder X-ray diffraction pattern. Radiation: Cu Ka. Structure: a cell relaxed with GGA-PBE.
No peak broadening, texture or thermal motion is included.

Structure:
Cell: 5.661 5.661 6.994 Å, 90.00 90.00 120.00°
Atoms (fractional coordinates):
Ac 0.000 0.000 0.000
Ac 0.333 0.667 0.688
Ac 0.667 0.333 0.312
Cu 0.333 0.667 0.163
Cu 0.667 0.333 0.837
Tc 0.000 0.000 0.500
O 0.000 0.500 0.000
O 0.163 0.326 0.333
O 0.163 0.837 0.333
O 0.326 0.163 0.667
O 0.500 0.000 0.000
O 0.500 0.500 0.000
O 0.674 0.837 0.333
O 0.837 0.163 0.667
O 0.837 0.674 0.667

Largest 6 diffraction maxima, by angle, 2θ = 10–80°:
2theta, I/Imax
22.1, 45
31.4, 100
31.6, 100
38.9, 26
45.2, 55
56.2, 40

=====

No. 2
This entry pairs a crystal structure of BPt6 with its computed powder X-ray diffraction pattern. Radiation: Cu Ka. Structure: a cell relaxed with GGA-PBE.
No peak broadening, texture or thermal motion is included.

Structure:
Cell: 10.123 8.365 4.919 Å, 90.00 90.00 90.00°
Atoms (fractional coordinates):
B 0.125 0.250 0.052
B 0.375 0.750 0.552
B 0.625 0.250 0.448
B 0.875 0.750 0.948
Pt 0.002 0.581 0.745
Pt 0.002 0.919 0.745
Pt 0.010 0.750 0.265
Pt 0.236 0.750 0.856
Pt 0.249 0.581 0.340
Pt 0.249 0.919 0.340
Pt 0.251 0.081 0.840
Pt 0.251 0.419 0.840
Pt 0.264 0.250 0.356
Pt 0.490 0.250 0.765
Pt 0.498 0.081 0.245
Pt 0.498 0.419 0.245
Pt 0.502 0.581 0.755
Pt 0.502 0.919 0.755
Pt 0.510 0.750 0.235
Pt 0.736 0.750 0.644
Pt 0.749 0.581 0.160
Pt 0.749 0.919 0.160
Pt 0.751 0.081 0.660
Pt 0.751 0.419 0.660
Pt 0.764 0.250 0.144
Pt 0.990 0.250 0.735
Pt 0.998 0.081 0.255
Pt 0.998 0.419 0.255

Largest 6 diffraction maxima, by angle, 2θ = 10–80°:
2theta, I/Imax
35.5, 44
36.5, 19
37.6, 17
41.3, 100
51.8, 14
67.6, 22

=====

No. 3
This entry pairs a crystal structure of Mg4GeO6 with its computed powder X-ray diffraction pattern. Radiation: Cu Ka. Structure: a cell relaxed with GGA-PBE.
No peak broadening, texture or thermal motion is included.

Structure:
Cell: 5.748 5.748 10.235 Å, 106.48 106.48 61.17°
Atoms (fractional coordinates):
Mg 0.051 0.313 0.829
Mg 0.067 0.933 0.500
Mg 0.125 0.581 0.169
Mg 0.313 0.051 0.329
Mg 0.545 0.760 0.024
Mg 0.581 0.125 0.669
Mg 0.760 0.545 0.524
Mg 0.933 0.067 0.000
Ge 0.148 0.704 0.756
Ge 0.704 0.148 0.256
O 0.083 0.645 0.576
O 0.258 0.833 0.135
O 0.279 0.928 0.863
O 0.343 0.385 0.806
O 0.385 0.343 0.306
O 0.438 0.903 0.507
O 0.645 0.083 0.076
O 0.825 0.861 0.806
O 0.833 0.258 0.635
O 0.861 0.825 0.306
O 0.903 0.438 0.007
O 0.928 0.279 0.363

Largest 6 diffraction maxima, by angle, 2θ = 10–80°:
2theta, I/Imax
18.6, 93
21.7, 100
30.7, 58
31.1, 57
35.8, 56
37.8, 70

=====

No. 4
This entry pairs a crystal structure of TbNdMgAg with its computed powder X-ray diffraction pattern. Radiation: Cu Ka. Structure: a cell relaxed with GGA-PBE.
No peak broadening, texture or thermal motion is included.

Structure:
Cell: 5.337 5.337 5.337 Å, 60.00 60.00 60.00°
Atoms (fractional coordinates):
Tb 0.000 0.000 0.000
Nd 0.500 0.500 0.500
Mg 0.750 0.750 0.750
Ag 0.250 0.250 0.250

Largest 6 diffraction maxima, by angle, 2θ = 10–80°:
2theta, I/Imax
20.4, 9
23.6, 17
33.6, 100
48.2, 18
60.0, 37
70.6, 11

=====

No. 5
This entry pairs a crystal structure of Er3Zn11 with its computed powder X-ray diffraction pattern. Radiation: Cu Ka. Structure: a cell relaxed with GGA-PBE.
No peak broadening, texture or thermal motion is included.

Structure:
Cell: 8.070 8.070 8.070 Å, 148.41 113.84 75.17°
Atoms (fractional coordinates):
Er 0.000 0.000 0.000
Er 0.291 0.291 0.000
Er 0.709 0.709 0.000
Zn 0.016 0.656 0.360
Zn 0.142 0.860 0.282
Zn 0.296 0.656 0.640
Zn 0.322 0.500 0.822
Zn 0.422 0.140 0.282
Zn 0.500 0.000 0.500
Zn 0.578 0.860 0.718
Zn 0.678 0.500 0.178
Zn 0.704 0.344 0.360
Zn 0.858 0.140 0.718
Zn 0.984 0.344 0.640

Largest 6 diffraction maxima, by angle, 2θ = 10–80°:
2theta, I/Imax
34.7, 36
35.7, 100
36.2, 46
36.8, 42
39.5, 29
41.1, 51

=====

No. 6
This entry pairs a crystal structure of PmTmGeH with its computed powder X-ray diffraction pattern. Radiation: Cu Ka. Structure: a cell relaxed with GGA-PBE.
No peak broadening, texture or thermal motion is included.

Structure:
Cell: 4.385 4.385 8.347 Å, 90.00 90.00 90.00°
Atoms (fractional coordinates):
Pm 0.250 0.250 0.127
Pm 0.750 0.750 0.873
Tm 0.250 0.750 0.500
Tm 0.750 0.250 0.500
Ge 0.250 0.250 0.732
Ge 0.750 0.750 0.268
H 0.250 0.750 0.000
H 0.750 0.250 0.000

Largest 6 diffraction maxima, by angle, 2θ = 10–80°:
2theta, I/Imax
10.6, 22
29.5, 44
30.8, 100
36.1, 59
38.3, 24
41.2, 51

=====

No. 7
This entry pairs a crystal structure of InFeMo2 with its computed powder X-ray diffraction pattern. Radiation: Cu Ka. Structure: a cell relaxed with GGA-PBE.
No peak broadening, texture or thermal motion is included.

Structure:
Cell: 4.877 4.877 4.877 Å, 131.29 131.29 71.35°
Atoms (fractional coordinates):
In 0.000 0.000 0.000
Fe 0.750 0.250 0.500
Mo 0.250 0.750 0.500
Mo 0.500 0.500 0.000

Largest 6 diffraction maxima, by angle, 2θ = 10–80°:
2theta, I/Imax
39.0, 100
45.1, 33
45.8, 15
65.7, 10
66.2, 20
79.1, 24

=====

No. 8
This entry pairs a crystal structure of KLiBiSe2 with its computed powder X-ray diffraction pattern. Radiation: Cu Ka. Structure: a cell relaxed with GGA-PBE.
No peak broadening, texture or thermal motion is included.

Structure:
Cell: 4.422 4.083 7.820 Å, 90.00 90.18 90.00°
Atoms (fractional coordinates):
K 0.000 0.000 0.000
Li 0.500 0.000 0.500
Bi 0.000 0.500 0.500
Se 0.499 0.500 0.252
Se 0.501 0.500 0.748

Largest 6 diffraction maxima, by angle, 2θ = 10–80°:
2theta, I/Imax
11.3, 85
21.8, 72
24.6, 63
30.5, 100
32.0, 69
37.8, 77

=====

No. 9
This entry pairs a crystal structure of NpTlInAu with its computed powder X-ray diffraction pattern. Radiation: Cu Ka. Structure: a cell relaxed with GGA-PBE.
No peak broadening, texture or thermal motion is included.

Structure:
Cell: 5.147 5.147 5.147 Å, 60.00 60.00 60.00°
Atoms (fractional coordinates):
Np 0.000 0.000 0.000
Tl 0.750 0.750 0.750
In 0.500 0.500 0.500
Au 0.250 0.250 0.250

Largest 6 diffraction maxima, by angle, 2θ = 10–80°:
2theta, I/Imax
21.1, 5
34.9, 100
41.1, 3
50.1, 18
62.5, 38
73.6, 12

=====

No. 10
This entry pairs a crystal structure of PaBiAsO6 with its computed powder X-ray diffraction pattern. Radiation: Cu Ka. Structure: a cell relaxed with GGA-PBE.
No peak broadening, texture or thermal motion is included.

Structure:
Cell: 5.581 5.581 9.860 Å, 90.00 90.00 120.00°
Atoms (fractional coordinates):
Pa 0.333 0.667 0.250
Pa 0.667 0.333 0.750
Bi 0.000 0.000 0.000
Bi 0.000 0.000 0.500
As 0.333 0.667 0.750
As 0.667 0.333 0.250
O 0.025 0.369 0.639
O 0.025 0.656 0.861
O 0.344 0.369 0.861
O 0.344 0.975 0.639
O 0.369 0.025 0.139
O 0.369 0.344 0.361
O 0.631 0.656 0.639
O 0.631 0.975 0.861
O 0.656 0.025 0.361
O 0.656 0.631 0.139
O 0.975 0.344 0.139
O 0.975 0.631 0.361

Largest 6 diffraction maxima, by angle, 2θ = 10–80°:
2theta, I/Imax
20.5, 19
25.8, 100
32.1, 47
41.6, 28
49.3, 42
53.5, 28

=====

No. 11
This entry pairs a crystal structure of Cs2Li2PbCl7 with its computed powder X-ray diffraction pattern. Radiation: Cu Ka. Structure: a cell relaxed with GGA-PBE.
No peak broadening, texture or thermal motion is included.

Structure:
Cell: 5.055 5.055 13.552 Å, 98.69 98.69 89.61°
Atoms (fractional coordinates):
Cs 0.191 0.191 0.359
Cs 0.809 0.809 0.641
Li 0.382 0.382 0.808
Li 0.618 0.618 0.192
Pb 0.000 0.000 0.000
Cl 0.101 0.605 0.152
Cl 0.302 0.302 0.627
Cl 0.395 0.899 0.848
Cl 0.500 0.500 0.000
Cl 0.605 0.101 0.152
Cl 0.698 0.698 0.373
Cl 0.899 0.395 0.848

Largest 6 diffraction maxima, by angle, 2θ = 10–80°:
2theta, I/Imax
18.0, 59
20.1, 52
23.9, 53
24.8, 87
32.3, 100
35.5, 92

=====

No. 12
This entry pairs a crystal structure of Ac2TlCuS4 with its computed powder X-ray diffraction pattern. Radiation: Cu Ka. Structure: a cell relaxed with GGA-PBE.
No peak broadening, texture or thermal motion is included.

Structure:
Cell: 7.615 7.615 14.523 Å, 90.00 90.00 147.38°
Atoms (fractional coordinates):
Ac 0.134 0.866 0.561
Ac 0.134 0.866 0.939
Ac 0.866 0.134 0.061
Ac 0.866 0.134 0.439
Tl 0.396 0.604 0.750
Tl 0.604 0.396 0.250
Cu 0.333 0.667 0.250
Cu 0.667 0.333 0.750
S 0.075 0.925 0.750
S 0.239 0.761 0.118
S 0.239 0.761 0.382
S 0.500 0.500 0.000
S 0.500 0.500 0.500
S 0.761 0.239 0.618
S 0.761 0.239 0.882
S 0.925 0.075 0.250

Largest 6 diffraction maxima, by angle, 2θ = 10–80°:
2theta, I/Imax
22.0, 100
24.4, 48
24.9, 70
28.5, 69
30.4, 74
37.9, 37